Diffraction record for K2MgCdI6. The powder diffractogram is simulated, not measured: it uses a structure optimized by DFT (PBE) and λ = 1.5418 Å (Cu Kα).
Intensities are scaled so that the largest is 100.

Cell and atoms:
a = 8.2631 Å, b = 8.2631 Å, c = 8.2631 Å
α = 60.28°, β = 60.28°, γ = 60.28°
Element x y z (fractional)
1 K 0.0000 0.0000 0.0000
2 K 0.4977 0.4977 0.4977
3 Mg 0.7732 0.7732 0.7732
4 Cd 0.2721 0.2721 0.2721
5 I 0.0274 0.6118 0.4470
6 I 0.1062 0.5363 0.9390
7 I 0.4470 0.0274 0.6118
8 I 0.5363 0.9390 0.1062
9 I 0.6118 0.4470 0.0274
10 I 0.9390 0.1062 0.5363

Main lines, by angle (10 to 80 degrees two-theta):
2θ = 15.13°, I 44; 2θ = 25.21°, I 100; 2θ = 26.33°, I 38; 2θ = 26.48°, I 27; 2θ = 30.54°, I 66; 2θ = 33.29°, I 28; 2θ = 34.30°, I 33; 2θ = 45.75°, I 35; 2θ = 45.94°, I 29; 2θ = 51.10°, I 22